Record 1
Computed powder XRD pattern of FeAg3 for CuKα, from the GGA-PBE geometry in the Materials Project.

Crystal structure
```
FeAg3
1.0
0.000 3.234 3.234
3.234 0.000 3.234
3.234 3.234 0.000
Fe Ag
1 3
direct
0.000 0.000 0.000
0.250 0.250 0.250
0.500 0.500 0.500
0.750 0.750 0.750
```

Top 6 peaks for 10° ≤ 2θ ≤ 90°, low angle first:
2theta	I/Imax
23.83	4
27.58	2
39.41	100
56.95	16
71.46	31
84.80	10

=====

Record 2
Computed powder XRD pattern of MgFeAgS2 for CuKα, from the GGA-PBE geometry in the Materials Project.

Crystal structure
```
MgFeAgS2
1.0
2.898 -1.667 0.000
2.898 1.667 0.000
-1.961 0.000 9.304
Mg Fe Ag S
1 1 1 2
direct
0.000 0.000 0.000
0.891 0.891 0.675
0.093 0.093 0.283
0.184 0.184 0.557
0.611 0.611 0.831
```

Top 6 peaks for 10° ≤ 2θ ≤ 90°, low angle first:
2theta	I/Imax
19.08	49
31.09	100
31.59	57
33.58	47
45.20	53
47.68	41

=====

Record 3
Computed powder XRD pattern of MgFeAgS2 for CuKα, from the GGA-PBE geometry in the Materials Project.

Crystal structure
```
MgFeAgS2
1.0
1.678 0.969 8.891
-1.678 0.969 8.891
0.000 -1.937 8.891
Mg Fe Ag S
1 1 1 2
direct
0.000 0.000 0.000
0.550 0.550 0.550
0.746 0.746 0.746
0.271 0.271 0.271
0.842 0.842 0.842
```

Top 6 peaks for 10° ≤ 2θ ≤ 90°, low angle first:
2theta	I/Imax
19.97	47
30.96	60
33.64	100
46.20	38
48.92	42
54.71	51

=====

Record 4
Computed powder XRD pattern of MgFeAgS2 for CuKα, from the GGA-PBE geometry in the Materials Project.

Crystal structure
```
MgFeAgS2
1.0
2.936 -1.696 0.000
2.936 1.696 0.000
-1.987 0.000 8.489
Mg Fe Ag S
1 1 1 2
direct
0.000 0.000 0.000
0.121 0.121 0.360
0.249 0.249 0.748
0.398 0.398 0.193
0.830 0.830 0.483
```

Top 6 peaks for 10° ≤ 2θ ≤ 90°, low angle first:
2theta	I/Imax
10.42	30
20.93	30
30.65	88
39.43	100
41.81	35
54.08	52

=====

Record 5
Computed powder XRD pattern of MgFeAgS2 for CuKα, from the GGA-PBE geometry in the Materials Project.

Crystal structure
```
MgFeAgS2
1.0
1.702 0.983 8.411
-1.702 0.983 8.411
0.000 -1.966 8.411
Mg Fe Ag S
1 1 1 2
direct
0.000 0.000 0.000
0.457 0.457 0.457
0.584 0.584 0.584
0.164 0.164 0.164
0.733 0.733 0.733
```

Top 6 peaks for 10° ≤ 2θ ≤ 90°, low angle first:
2theta	I/Imax
10.52	32
30.53	52
31.15	57
35.26	34
39.49	100
53.86	43

=====

Record 6
Computed powder XRD pattern of FeAgSbS4N6 for CuKα, from the GGA-PBE geometry in the Materials Project.

Crystal structure
```
FeAgSbS4N6
1.0
7.297 0.000 0.000
0.000 7.297 0.000
0.000 0.000 8.629
Fe Ag Sb S N
2 2 2 8 12
direct
0.000 0.500 0.250
0.500 0.000 0.750
0.000 0.000 0.000
0.500 0.500 0.500
0.000 0.000 0.500
0.500 0.500 0.000
0.095 0.207 0.754
0.207 0.905 0.246
0.293 0.405 0.746
0.405 0.707 0.254
0.595 0.293 0.254
0.707 0.595 0.746
0.793 0.095 0.246
0.905 0.793 0.754
0.054 0.556 0.491
0.056 0.554 0.009
0.162 0.338 0.250
0.338 0.838 0.750
0.444 0.054 0.509
0.446 0.056 0.991
0.554 0.944 0.991
0.556 0.946 0.509
0.662 0.162 0.750
0.838 0.662 0.250
0.944 0.446 0.009
0.946 0.444 0.491
```

Top 6 peaks for 10° ≤ 2θ ≤ 90°, low angle first:
2theta	I/Imax
17.19	53
24.40	100
26.94	89
32.13	80
41.87	44
44.53	82